For CsLi2WF8, a GGA+U-relaxed structure gives the simulated XRD peak list in this record (Cu Kα, 1.54184 Å).
Intensities are scaled so that the largest is 100.

The 12 most intense peaks (2θ from 10° to 80°), in order of falling intensity:
2θ = 19.82°, rel. 100; 2θ = 24.13°, rel. 91; 2θ = 40.01°, rel. 51; 2θ = 31.75°, rel. 41; 2θ = 23.71°, rel. 29; 2θ = 52.17°, rel. 22; 2θ = 37.71°, rel. 21; 2θ = 49.42°, rel. 20; 2θ = 36.86°, rel. 20; 2θ = 59.15°, rel. 19; 2θ = 50.10°, rel. 18; 2θ = 18.60°, rel. 16

Structural model:
```
data_CsLi2WF8
_chemical_formula_sum 'Cs1 Li2 W1 F8'
_cell_length_a 8.1807
_cell_length_b 8.1807
_cell_length_c 8.1807
_cell_angle_alpha 40.31
_cell_angle_beta 40.31
_cell_angle_gamma 40.31
_symmetry_space_group_name_H-M 'P 1'
_symmetry_Int_Tables_number 1
_symmetry_space_group_name_Hall 'P 1'
loop_
_atom_site_label
_atom_site_type_symbol
_atom_site_fract_x
_atom_site_fract_y
_atom_site_fract_z
Cs1 Cs 0.0000 0.0000 0.0000
Li1 Li 0.2627 0.2627 0.2627
Li2 Li 0.7373 0.7373 0.7373
W1 W 0.5000 0.5000 0.5000
F1 F 0.1197 0.6203 0.6203
F2 F 0.3394 0.3394 0.3394
F3 F 0.3797 0.3797 0.8803
F4 F 0.3797 0.8803 0.3797
F5 F 0.6203 0.1197 0.6203
F6 F 0.6203 0.6203 0.1197
F7 F 0.6606 0.6606 0.6606
F8 F 0.8803 0.3797 0.3797
```